[1]
Starting from a DFT-relaxed cell (PBE, OQMD), the powder X-ray diffraction pattern of Cs4TePt was calculated for Cu Ka.
No peak broadening, texture or thermal motion is included.

The 10 most intense peaks (5 to 70 degrees two-theta), in order of rising 2θ:
| d/Å | intensity | hkl |
| --- | --- | --- |
| 4.946 | 32 | 1 0 1 |
| 3.029 | 100 | 2 0 0 |
| 2.591 | 6 | 1 0 3 |
| 2.579 | 13 | 2 1 1 |
| 2.150 | 6 | 0 0 4 |
| 2.138 | 13 | 2 2 0 |
| 1.752 | 12 | 2 0 4 |
| 1.747 | 26 | 3 1 2 |
| 1.516 | 8 | 2 2 4 |
| 1.352 | 11 | 4 2 0 |

Structure:
```
6
Lattice="6.046 0.000 0.000 0.000 6.046 0.000 0.000 0.000 8.602" Properties=species:S:1:pos:R:3 pbc="T T T"
Cs 0.000 3.023 2.001
Cs 0.000 3.023 6.601
Cs 3.023 0.000 2.001
Cs 3.023 0.000 6.601
Te 0.000 0.000 4.301
Pt 3.023 3.023 0.000
```

[2]
Starting from a DFT-relaxed cell (PBE, OQMD), the powder X-ray diffraction pattern of Cs4PuSiS6 was calculated for Cu Ka.
No peak broadening, texture or thermal motion is included.

The 10 most intense peaks (5 to 70 degrees two-theta), in order of rising 2θ:
| d/Å | intensity | hkl |
| --- | --- | --- |
| 5.966 | 30 | 1 0 1 |
| 4.528 | 33 | 1 0 -1 |
| 4.345 | 32 | 1 1 2 |
| 3.839 | 65 | 1 -1 1 |
| 3.774 | 61 | 1 2 0 |
| 3.647 | 100 | 2 1 1 |
| 3.532 | 56 | 0 2 1 |
| 3.439 | 73 | 0 1 -2 |
| 2.486 | 34 | 2 3 2 |
| 1.823 | 29 | 4 2 2 |

Structure:
```
12
Lattice="7.302 0.000 0.000 3.392 7.322 0.000 3.332 1.336 8.509" Properties=species:S:1:pos:R:3 pbc="T T T"
Cs 0.000 0.000 0.000
Cs 3.512 3.320 2.245
Cs 7.087 6.120 3.866
Cs 10.428 5.790 7.137
Pu 7.215 1.745 4.039
Si 6.926 3.068 7.041
S 6.700 5.143 7.320
S 5.298 2.349 5.690
S 3.650 0.478 0.200
S 7.166 3.159 1.970
S 8.781 2.787 5.842
S 10.811 6.605 3.529
```

[3]
Starting from a DFT-relaxed cell (PBE, OQMD), the powder X-ray diffraction pattern of CsSrPu was calculated for Cu Ka.
No peak broadening, texture or thermal motion is included.

The 10 most intense peaks (5 to 70 degrees two-theta), in order of rising 2θ:
| d/Å | intensity | hkl |
| --- | --- | --- |
| 5.334 | 19 | 1 1 1 |
| 4.620 | 43 | 2 0 0 |
| 3.266 | 100 | 2 2 0 |
| 2.786 | 12 | 3 1 1 |
| 2.667 | 14 | 2 2 2 |
| 2.310 | 19 | 4 0 0 |
| 2.066 | 21 | 4 2 0 |
| 1.886 | 43 | 4 2 2 |
| 1.633 | 13 | 4 4 0 |
| 1.461 | 19 | 6 2 0 |

Structure:
```
12
Lattice="9.239 0.000 0.000 0.000 9.239 0.000 0.000 0.000 9.239" Properties=species:S:1:pos:R:3 pbc="T T T"
Cs 0.000 0.000 0.000
Cs 0.000 4.620 4.620
Cs 4.620 0.000 4.620
Cs 4.620 4.620 0.000
Sr 2.310 2.310 6.929
Sr 2.310 6.929 2.310
Sr 6.929 2.310 2.310
Sr 6.929 6.929 6.929
Pu 0.000 0.000 4.620
Pu 0.000 4.620 0.000
Pu 4.620 0.000 0.000
Pu 4.620 4.620 4.620
```

Copy entry 2 word for word.
Starting from a DFT-relaxed cell (PBE, OQMD), the powder X-ray diffraction pattern of Cs4PuSiS6 was calculated for Cu Ka.
No peak broadening, texture or thermal motion is included.

The 10 most intense peaks (5 to 70 degrees two-theta), in order of rising 2θ:
| d/Å | intensity | hkl |
| --- | --- | --- |
| 5.966 | 30 | 1 0 1 |
| 4.528 | 33 | 1 0 -1 |
| 4.345 | 32 | 1 1 2 |
| 3.839 | 65 | 1 -1 1 |
| 3.774 | 61 | 1 2 0 |
| 3.647 | 100 | 2 1 1 |
| 3.532 | 56 | 0 2 1 |
| 3.439 | 73 | 0 1 -2 |
| 2.486 | 34 | 2 3 2 |
| 1.823 | 29 | 4 2 2 |

Structure:
```
12
Lattice="7.302 0.000 0.000 3.392 7.322 0.000 3.332 1.336 8.509" Properties=species:S:1:pos:R:3 pbc="T T T"
Cs 0.000 0.000 0.000
Cs 3.512 3.320 2.245
Cs 7.087 6.120 3.866
Cs 10.428 5.790 7.137
Pu 7.215 1.745 4.039
Si 6.926 3.068 7.041
S 6.700 5.143 7.320
S 5.298 2.349 5.690
S 3.650 0.478 0.200
S 7.166 3.159 1.970
S 8.781 2.787 5.842
S 10.811 6.605 3.529
```

Please write out number 3 again, unchanged.
Starting from a DFT-relaxed cell (PBE, OQMD), the powder X-ray diffraction pattern of CsSrPu was calculated for Cu Ka.
No peak broadening, texture or thermal motion is included.

The 10 most intense peaks (5 to 70 degrees two-theta), in order of rising 2θ:
| d/Å | intensity | hkl |
| --- | --- | --- |
| 5.334 | 19 | 1 1 1 |
| 4.620 | 43 | 2 0 0 |
| 3.266 | 100 | 2 2 0 |
| 2.786 | 12 | 3 1 1 |
| 2.667 | 14 | 2 2 2 |
| 2.310 | 19 | 4 0 0 |
| 2.066 | 21 | 4 2 0 |
| 1.886 | 43 | 4 2 2 |
| 1.633 | 13 | 4 4 0 |
| 1.461 | 19 | 6 2 0 |

Structure:
```
12
Lattice="9.239 0.000 0.000 0.000 9.239 0.000 0.000 0.000 9.239" Properties=species:S:1:pos:R:3 pbc="T T T"
Cs 0.000 0.000 0.000
Cs 0.000 4.620 4.620
Cs 4.620 0.000 4.620
Cs 4.620 4.620 0.000
Sr 2.310 2.310 6.929
Sr 2.310 6.929 2.310
Sr 6.929 2.310 2.310
Sr 6.929 6.929 6.929
Pu 0.000 0.000 4.620
Pu 0.000 4.620 0.000
Pu 4.620 0.000 0.000
Pu 4.620 4.620 4.620
```